Record 1
Theoretical powder diffractogram
Compound: Ac2Pm3Sn4
Radiation: a wavelength of 1.5418 Å
Structure: a crystal structure in Alexandria, relaxed with PBE

Principal peaks in the range 5 to 70 degrees two-theta, sorted by position:
d [Å]	I_rel	(hkl)
3.246	29.9	1 2 1
3.224	35.9	2 1 -2
3.028	71.6	2 2 -1
3.005	21.5	2 1 1
2.993	28.8	1 2 -2
2.968	100.0	1 1 2
2.711	70.7	3 0 0
2.694	23.2	3 0 -2
2.662	55.9	1 1 -3
1.980	15.5	1 4 1
1.927	16.5	2 4 -1
1.888	17.9	3 1 -4

Cell and atoms:
```
data_Ac2Pm3Sn4
_cell_length_a 8.6239
_cell_length_b 8.6622
_cell_length_c 8.3897
_cell_angle_alpha 90.00
_cell_angle_beta 109.57
_cell_angle_gamma 90.00
_space_group_name_H-M_alt 'P 1 21/c 1'
_space_group_IT_number 14
_space_group_name_Hall '-P 2ybc'
loop_
_atom_site_label
_atom_site_type_symbol
_atom_site_fract_x
_atom_site_fract_y
_atom_site_fract_z
Ac1 Ac 0.1930 0.1757 0.0667
Pm1 Pm 0.2489 0.6700 0.2481
Pm2 Pm 0.5000 0.0000 0.5000
Sn1 Sn 0.0829 0.5401 0.8544
Sn2 Sn 0.4935 0.1321 0.8646
```

***

Record 2
Theoretical powder diffractogram
Compound: Ba3Sr2Zn2Au4
Radiation: a wavelength of 1.5418 Å
Structure: a crystal structure in Alexandria, relaxed with PBE

Principal peaks in the range 5 to 70 degrees two-theta, sorted by position:
d [Å]	I_rel	(hkl)
4.904	13.8	0 0 4
3.756	31.9	0 1 2
3.453	16.7	1 0 3
3.130	100.0	0 1 4
2.823	33.7	1 0 5
2.347	68.2	1 1 0
2.308	19.3	1 0 7
2.180	12.5	0 0 9
1.878	23.2	2 0 4
1.597	28.4	1 1 9
1.466	20.8	1 2 4
1.355	12.0	3 0 0

Cell and atoms:
```
data_Ba3Sr2Zn2Au4
_cell_length_a 4.6949
_cell_length_b 4.6949
_cell_length_c 19.6180
_cell_angle_alpha 90.00
_cell_angle_beta 90.00
_cell_angle_gamma 120.00
_space_group_name_H-M_alt 'P -3 m 1'
_space_group_IT_number 164
_space_group_name_Hall '-P 3 2"'
loop_
_atom_site_label
_atom_site_type_symbol
_atom_site_fract_x
_atom_site_fract_y
_atom_site_fract_z
Ba1 Ba 0.0000 0.0000 0.0000
Ba2 Ba 0.0000 0.0000 0.2319
Sr1 Sr 0.3333 0.6667 0.5849
Zn1 Zn 0.3333 0.6667 0.1162
Au1 Au 0.3333 0.6667 0.3353
Au2 Au 0.3333 0.6667 0.8831
```

***

Record 3
Theoretical powder diffractogram
Compound: Nd4Sm7Hg
Radiation: a wavelength of 1.5418 Å
Structure: a crystal structure in Alexandria, relaxed with PBE

Principal peaks in the range 5 to 70 degrees two-theta, sorted by position:
d [Å]	I_rel	(hkl)
3.282	100.0	1 0 4
3.014	3.7	1 0 5
2.532	6.3	0 1 7
2.327	31.7	0 1 8
2.315	42.1	1 1 0
1.905	3.6	0 0 12
1.892	21.3	0 2 4
1.641	10.9	2 0 8
1.546	4.9	1 1 11
1.471	9.4	1 1 12
1.465	18.4	2 1 4
1.424	3.5	1 0 15

Cell and atoms:
```
data_Nd4Sm7Hg
_cell_length_a 4.6298
_cell_length_b 4.6298
_cell_length_c 22.8577
_cell_angle_alpha 90.00
_cell_angle_beta 90.00
_cell_angle_gamma 120.00
_space_group_name_H-M_alt 'P -3 m 1'
_space_group_IT_number 164
_space_group_name_Hall '-P 3 2"'
loop_
_atom_site_label
_atom_site_type_symbol
_atom_site_fract_x
_atom_site_fract_y
_atom_site_fract_z
Nd1 Nd 0.3333 0.6667 0.1564
Nd2 Nd 0.3333 0.6667 0.4086
Sm1 Sm 0.0000 0.0000 0.2452
Sm2 Sm 0.0000 0.0000 0.5000
Sm3 Sm 0.3333 0.6667 0.6766
Sm4 Sm 0.3333 0.6667 0.9400
Hg1 Hg 0.0000 0.0000 0.0000
```

***

Record 4
Theoretical powder diffractogram
Compound: SrPPdO5
Radiation: a wavelength of 1.5418 Å
Structure: a crystal structure in Alexandria, relaxed with PBE

Principal peaks in the range 5 to 70 degrees two-theta, sorted by position:
d [Å]	I_rel	(hkl)
5.336	12.0	0 2 0
3.235	60.6	1 1 -2
3.056	100.0	1 3 0
2.986	47.1	2 0 0
2.706	42.3	0 2 2
2.351	15.1	1 1 2
2.064	24.2	3 1 -2
2.033	18.2	0 4 2
1.929	18.9	2 4 -2
1.737	18.9	3 3 0
1.730	12.8	2 2 2
1.529	21.9	1 3 -4

Cell and atoms:
```
data_SrPPdO5
_cell_length_a 6.5168
_cell_length_b 10.6727
_cell_length_c 6.8533
_cell_angle_alpha 90.00
_cell_angle_beta 113.60
_cell_angle_gamma 90.00
_space_group_name_H-M_alt 'C 1 2/c 1'
_space_group_IT_number 15
_space_group_name_Hall '-C 2yc'
loop_
_atom_site_label
_atom_site_type_symbol
_atom_site_fract_x
_atom_site_fract_y
_atom_site_fract_z
Sr1 Sr 0.0000 0.1706 0.2500
P1 P 0.0000 0.1447 0.7500
Pd1 Pd 0.0000 0.5000 0.0000
O1 O 0.0000 0.4204 0.2500
O2 O 0.1194 0.2244 0.6408
O3 O 0.1686 0.0547 0.9246
```

***

Record 5
Theoretical powder diffractogram
Compound: HfAgIO6
Radiation: a wavelength of 1.5418 Å
Structure: a crystal structure in Alexandria, relaxed with PBE

Principal peaks in the range 5 to 70 degrees two-theta, sorted by position:
d [Å]	I_rel	(hkl)
5.143	28.0	0 0 2
3.467	100.0	1 0 2
2.709	49.1	1 1 0
2.572	11.1	0 0 4
2.397	19.1	1 1 2
2.135	23.7	2 0 2
1.865	48.8	1 1 4
1.677	23.6	2 1 2
1.610	9.6	1 0 6
1.564	15.0	3 0 0
1.384	6.9	2 0 6
1.355	6.3	2 2 0

Cell and atoms:
```
data_HfAgIO6
_cell_length_a 5.4189
_cell_length_b 5.4189
_cell_length_c 10.2861
_cell_angle_alpha 90.00
_cell_angle_beta 90.00
_cell_angle_gamma 120.00
_space_group_name_H-M_alt 'P -3 1 c'
_space_group_IT_number 163
_space_group_name_Hall '-P 3 2c'
loop_
_atom_site_label
_atom_site_type_symbol
_atom_site_fract_x
_atom_site_fract_y
_atom_site_fract_z
Hf1 Hf 0.3333 0.6667 0.2500
Ag1 Ag 0.0000 0.0000 0.0000
I1 I 0.3333 0.6667 0.7500
O1 O 0.0256 0.3910 0.6451
```

***

Record 6
Theoretical powder diffractogram
Compound: NaSmSb2
Radiation: a wavelength of 1.5418 Å
Structure: a crystal structure in Alexandria, relaxed with PBE

Principal peaks in the range 5 to 70 degrees two-theta, sorted by position:
d [Å]	I_rel	(hkl)
6.499	26.4	0 0 1
5.508	25.8	0 2 0
2.799	61.4	0 2 2
2.786	61.9	1 1 2
2.754	52.4	0 4 0
2.708	100.0	2 2 0
2.266	34.5	1 3 2
2.247	30.2	2 0 2
1.750	15.5	1 5 2
1.741	27.5	2 4 2
1.581	19.2	2 6 0
1.557	19.6	1 1 4

Cell and atoms:
```
data_NaSmSb2
_cell_length_a 6.2199
_cell_length_b 11.0166
_cell_length_c 6.4986
_cell_angle_alpha 90.00
_cell_angle_beta 90.00
_cell_angle_gamma 90.00
_space_group_name_H-M_alt 'C m m e'
_space_group_IT_number 67
_space_group_name_Hall '-C 2a 2'
loop_
_atom_site_label
_atom_site_type_symbol
_atom_site_fract_x
_atom_site_fract_y
_atom_site_fract_z
Na1 Na 0.2500 0.0000 0.0000
Sm1 Sm 0.0000 0.2500 0.3240
Sb1 Sb 0.0000 0.2500 0.8308
Sb2 Sb 0.2500 0.0000 0.5000
```

***

Record 7
Theoretical powder diffractogram
Compound: Sr2GaAgSn6
Radiation: a wavelength of 1.5418 Å
Structure: a crystal structure in Alexandria, relaxed with PBE

Principal peaks in the range 5 to 70 degrees two-theta, sorted by position:
d [Å]	I_rel	(hkl)
5.539	30.2	1 0 1
4.618	19.5	0 2 0
3.425	74.4	0 2 2
3.040	38.2	1 2 2
2.770	100.0	2 0 2
2.683	58.3	2 2 0
2.530	28.7	1 2 3
2.376	30.7	2 2 2
2.308	53.4	0 4 0
2.235	28.0	0 2 4
1.774	50.7	2 4 2
1.714	22.1	0 4 4

Cell and atoms:
```
data_Sr2GaAgSn6
_cell_length_a 6.5930
_cell_length_b 9.2365
_cell_length_c 10.2133
_cell_angle_alpha 90.00
_cell_angle_beta 90.00
_cell_angle_gamma 90.00
_space_group_name_H-M_alt 'P m m n'
_space_group_IT_number 59
loop_
_space_group_symop_operation_xyz
'x,y,z'
'-x,-y,-z'
'-x+1/2,-y+1/2,z'
'x+1/2,y+1/2,-z'
'x+1/2,-y,-z'
'-x+1/2,y,z'
'-x,y+1/2,-z'
'x,-y+1/2,z'
loop_
_atom_site_label
_atom_site_type_symbol
_atom_site_fract_x
_atom_site_fract_y
_atom_site_fract_z
Sr1 Sr 0.2500 0.0093 0.2286
Ga1 Ga 0.2500 0.2500 0.8270
Ag1 Ag 0.2500 0.7500 0.7441
Sn1 Sn 0.0150 0.7500 0.4949
Sn2 Sn 0.0352 0.7500 0.9853
Sn3 Sn 0.2500 0.0349 0.6444
```

***

Record 8
Theoretical powder diffractogram
Compound: Pr3Ga2Cu7
Radiation: a wavelength of 1.5418 Å
Structure: a crystal structure in Alexandria, relaxed with PBE

Principal peaks in the range 5 to 70 degrees two-theta, sorted by position:
d [Å]	I_rel	(hkl)
13.153	21.8	0 0 2
3.283	24.6	1 0 5
2.970	44.0	1 1 0
2.897	16.8	1 1 2
2.459	100.0	1 1 6
2.399	39.9	1 0 9
2.204	23.8	1 1 8
2.100	72.4	2 0 0
2.078	30.0	1 0 11
1.580	21.0	2 1 9
1.485	22.8	2 2 0
1.477	19.4	2 1 11

Cell and atoms:
```
data_Pr3Ga2Cu7
_cell_length_a 4.2008
_cell_length_b 4.2008
_cell_length_c 26.3062
_cell_angle_alpha 90.00
_cell_angle_beta 90.00
_cell_angle_gamma 90.00
_space_group_name_H-M_alt 'I 4/m m m'
_space_group_IT_number 139
_space_group_name_Hall '-I 4 2'
loop_
_atom_site_label
_atom_site_type_symbol
_atom_site_fract_x
_atom_site_fract_y
_atom_site_fract_z
Pr1 Pr 0.0000 0.0000 0.0000
Pr2 Pr 0.0000 0.0000 0.1699
Ga1 Ga 0.0000 0.0000 0.3763
Cu1 Cu 0.0000 0.0000 0.2802
Cu2 Cu 0.0000 0.0000 0.5000
Cu3 Cu 0.0000 0.5000 0.0763
```

***

Record 9
Theoretical powder diffractogram
Compound: Pm3Th2Ge3
Radiation: a wavelength of 1.5418 Å
Structure: a crystal structure in Alexandria, relaxed with PBE

Principal peaks in the range 5 to 70 degrees two-theta, sorted by position:
d [Å]	I_rel	(hkl)
10.482	14.6	0 0 2
3.201	10.3	0 1 5
2.716	100.0	1 1 4
2.621	19.0	0 0 8
2.478	20.6	0 2 0
2.068	12.2	2 0 0
1.801	12.6	0 2 8
1.624	9.0	2 0 8
1.588	10.6	2 2 0
1.531	10.8	1 1 12
1.472	15.6	1 3 4
1.358	9.9	2 2 8

Cell and atoms:
```
data_Pm3Th2Ge3
_cell_length_a 4.1366
_cell_length_b 4.9561
_cell_length_c 20.9642
_cell_angle_alpha 90.00
_cell_angle_beta 90.00
_cell_angle_gamma 90.00
_space_group_name_H-M_alt 'I m m m'
_space_group_IT_number 71
_space_group_name_Hall '-I 2 2'
loop_
_atom_site_label
_atom_site_type_symbol
_atom_site_fract_x
_atom_site_fract_y
_atom_site_fract_z
Pm1 Pm 0.0000 0.0000 0.0000
Pm2 Pm 0.0000 0.5000 0.1117
Th1 Th 0.0000 0.0000 0.2404
Ge1 Ge 0.0000 0.0000 0.5000
Ge2 Ge 0.0000 0.5000 0.3683
```

***

Record 10
Theoretical powder diffractogram
Compound: LiRuSeI
Radiation: a wavelength of 1.5418 Å
Structure: a crystal structure in Alexandria, relaxed with PBE

Principal peaks in the range 5 to 70 degrees two-theta, sorted by position:
d [Å]	I_rel	(hkl)
5.677	32.2	0 0 1
3.947	25.3	1 0 0
3.492	100.0	0 1 1
3.241	71.0	1 0 1
2.615	27.6	1 1 1
2.214	25.0	0 2 0
2.044	76.2	1 1 2
1.973	17.5	2 0 0
1.828	26.8	1 2 1
1.718	25.4	2 1 1
1.706	14.2	1 0 3
1.352	13.7	1 2 3

Cell and atoms:
```
data_LiRuSeI
_cell_length_a 3.9466
_cell_length_b 4.4280
_cell_length_c 5.6774
_cell_angle_alpha 90.00
_cell_angle_beta 90.00
_cell_angle_gamma 90.00
_space_group_name_H-M_alt 'P m m 2'
_space_group_IT_number 25
_space_group_name_Hall 'P 2 -2'
loop_
_atom_site_label
_atom_site_type_symbol
_atom_site_fract_x
_atom_site_fract_y
_atom_site_fract_z
Li1 Li 0.0000 0.0000 0.0000
Ru1 Ru 0.5000 0.5000 0.9426
Se1 Se 0.0000 0.5000 0.1821
I1 I 0.5000 0.0000 0.6697
```